Starting from the GGA+U geometry in the Materials Project, the powder diffraction line list of MgW2O4 was calculated for Cu Kα X-rays.

Structure:
```
42
Lattice="5.6164 -3.1850 0.0000 5.6164 3.1850 0.0000 -0.3455 0.0000 15.5264" Properties=species:S:1:pos:R:3 pbc="T T T"
Mg 0.0000 0.0000 0.0000
Mg 11.1442 0.0000 3.8886
Mg -0.1982 0.0000 9.6298
Mg 3.6275 0.0000 5.2113
Mg 3.5683 0.0000 8.9968
Mg 7.1535 0.0000 14.2343
W 2.7639 1.5886 1.9458
W 1.5637 0.0000 12.2515
W 4.3792 1.6018 12.2624
W 3.3934 0.0000 14.8647
W 6.4092 1.6032 7.1604
W 2.7639 -1.5886 1.9458
W 5.5708 0.0000 1.9401
W 4.3792 -1.6018 12.2624
W 7.3824 0.0000 4.5483
W 7.3031 0.0000 10.4069
W 6.4092 -1.6032 7.1604
W 9.2572 0.0000 7.1343
O -0.1279 0.0000 5.9442
O -0.2879 0.0000 13.4563
O 2.5422 1.5299 13.5019
O 1.5817 0.0000 8.4544
O 4.5952 1.6695 8.3851
O 4.5875 1.5283 0.6819
O 1.9641 0.0000 0.6428
O 6.1585 1.6471 11.0690
O 3.4375 0.0000 11.0870
O 3.7096 0.0000 3.1339
O 6.5493 1.5310 3.1818
O 5.1761 0.0000 13.5560
O 2.5422 -1.5299 13.5019
O 8.2275 1.5220 5.8869
O 5.6066 0.0000 5.8588
O 4.5875 -1.5283 0.6819
O 7.4374 0.0000 0.7479
O 7.4283 0.0000 8.2966
O 4.5952 -1.6695 8.3851
O 9.1745 0.0000 3.2373
O 6.1585 -1.6471 11.0690
O 6.5493 -1.5310 3.1818
O 9.3567 0.0000 10.8893
O 8.2275 -1.5220 5.8869
```

The 12 most intense peaks (2θ = 10–80°), in order of rising 2θ:
- 2θ 16.92, rel. 100
- 2θ 17.13, rel. 72
- 2θ 32.28, rel. 27
- 2θ 32.41, rel. 31
- 2θ 32.93, rel. 85
- 2θ 33.02, rel. 31
- 2θ 33.23, rel. 33
- 2θ 34.23, rel. 87
- 2θ 39.18, rel. 32
- 2θ 40.20, rel. 61
- 2θ 57.08, rel. 35
- 2θ 57.70, rel. 34

=====

Starting from the GGA+U geometry in the Materials Project, the powder diffraction line list of CsCrO3F was calculated for Cu Kα X-rays.

Structure:
```
12
Lattice="4.1651 -4.1645 0.0000 4.1651 4.1645 0.0000 -4.0235 0.0000 7.5487" Properties=species:S:1:pos:R:3 pbc="T T T"
Cs 2.1533 3.1487 3.7743
Cs 4.1651 -3.1487 0.0000
Cr 0.0691 1.0770 7.5074
Cr 2.0809 -1.0770 3.7331
O 3.1634 2.0179 0.9060
O 1.0179 2.0075 6.5700
O -0.8740 0.1144 6.5969
O 1.1378 -0.1144 2.8226
O 1.1517 -2.0179 4.6803
O 3.0297 -2.0075 2.7957
F 5.1468 0.0367 0.9675
F 3.1350 -0.0367 4.7418
```

The 12 most intense peaks (2θ = 10–80°), in order of rising 2θ:
- 2θ 23.57, rel. 51
- 2θ 24.21, rel. 50
- 2θ 24.41, rel. 100
- 2θ 24.61, rel. 50
- 2θ 30.35, rel. 54
- 2θ 38.52, rel. 34
- 2θ 39.05, rel. 27
- 2θ 41.95, rel. 20
- 2θ 50.03, rel. 13
- 2θ 50.26, rel. 12
- 2θ 50.40, rel. 18
- 2θ 50.68, rel. 11

=====

Starting from the GGA+U geometry in the Materials Project, the powder diffraction line list of NiSb2O4 was calculated for Cu Kα X-rays.

Structure:
```
28
Lattice="8.4776 0.0000 0.0000 0.0000 8.4776 0.0000 0.0000 0.0000 6.0566" Properties=species:S:1:pos:R:3 pbc="T T T"
Ni 0.0000 4.2388 1.5142
Ni 0.0000 4.2388 4.5425
Ni 4.2388 0.0000 1.5142
Ni 4.2388 0.0000 4.5425
Sb 1.3975 1.4593 0.0000
Sb 1.4593 7.0800 3.0283
Sb 2.7795 2.8412 3.0283
Sb 2.8412 5.6981 0.0000
Sb 5.6363 2.7795 0.0000
Sb 5.6981 5.6363 3.0283
Sb 7.0183 1.3975 3.0283
Sb 7.0800 7.0183 0.0000
O 0.8261 3.0753 3.0283
O 1.1635 3.4127 0.0000
O 1.4963 5.7351 1.5142
O 1.4963 5.7351 4.5425
O 2.7425 1.4963 1.5142
O 2.7425 1.4963 4.5425
O 3.0753 7.6515 0.0000
O 3.4127 7.3140 3.0283
O 5.0649 1.1635 3.0283
O 5.4023 0.8261 0.0000
O 5.7351 6.9813 1.5142
O 5.7351 6.9813 4.5425
O 6.9813 2.7425 1.5142
O 6.9813 2.7425 4.5425
O 7.3140 5.0649 0.0000
O 7.6515 5.4023 3.0283
```

The 12 most intense peaks (2θ = 10–80°), in order of rising 2θ:
- 2θ 20.96, rel. 10
- 2θ 27.76, rel. 100
- 2θ 29.50, rel. 11
- 2θ 29.81, rel. 13
- 2θ 33.14, rel. 13
- 2θ 33.42, rel. 23
- 2θ 36.46, rel. 22
- 2θ 46.65, rel. 29
- 2θ 51.27, rel. 18
- 2θ 52.72, rel. 10
- 2θ 55.06, rel. 24
- 2θ 64.71, rel. 11

=====

Starting from the GGA+U geometry in the Materials Project, the powder diffraction line list of Al2Fe2Bi2O9 was calculated for Cu Kα X-rays.

Structure:
```
30
Lattice="7.9974 0.0000 0.0000 0.0000 8.4377 0.0000 0.0000 0.0000 5.8835" Properties=species:S:1:pos:R:3 pbc="T T T"
Al 0.0000 0.0000 1.4305
Al 0.0000 0.0000 4.4530
Al 3.9987 4.2188 1.4305
Al 3.9987 4.2188 4.4530
Fe 1.2154 2.8151 0.0000
Fe 2.7833 7.0339 0.0000
Fe 5.2141 1.4038 0.0000
Fe 6.7820 5.6226 0.0000
Bi 1.3963 5.6430 2.9418
Bi 2.6024 1.4242 2.9418
Bi 5.3950 7.0135 2.9418
Bi 6.6011 2.7947 2.9418
O 0.0000 4.2188 0.0000
O 1.0084 1.6584 1.5142
O 1.0084 1.6584 4.3693
O 1.0215 7.7045 0.0000
O 1.1372 7.8449 2.9418
O 2.8615 3.6260 2.9418
O 2.9772 3.4857 0.0000
O 2.9903 5.8772 1.5142
O 2.9903 5.8772 4.3693
O 3.9987 0.0000 0.0000
O 5.0071 2.5605 1.5142
O 5.0071 2.5605 4.3693
O 5.0202 4.9520 0.0000
O 5.1359 4.8117 2.9418
O 6.8602 0.5928 2.9418
O 6.9759 0.7332 0.0000
O 6.9890 6.7793 1.5142
O 6.9890 6.7793 4.3693
```

The 12 most intense peaks (2θ = 10–80°), in order of rising 2θ:
- 2θ 15.06, rel. 49
- 2θ 23.85, rel. 21
- 2θ 26.96, rel. 18
- 2θ 28.32, rel. 100
- 2θ 29.00, rel. 86
- 2θ 30.38, rel. 32
- 2θ 39.50, rel. 22
- 2θ 47.17, rel. 31
- 2θ 49.34, rel. 23
- 2θ 52.73, rel. 18
- 2θ 53.14, rel. 17
- 2θ 56.97, rel. 35

=====

Starting from the GGA+U geometry in the Materials Project, the powder diffraction line list of MgFe4P4O16 was calculated for Cu Kα X-rays.

Structure:
```
25
Lattice="5.2825 0.0000 0.0000 2.4780 8.2389 0.0000 0.0508 0.4357 9.4919" Properties=species:S:1:pos:R:3 pbc="T T T"
Mg 0.0000 0.0000 0.0000
Fe 2.5513 6.7010 3.5240
Fe 1.6542 1.7958 4.1217
Fe 4.0292 3.1507 8.6815
Fe 5.2913 6.1238 8.2989
P 1.0520 2.7055 7.2725
P 2.9460 5.7448 0.5105
P 4.7597 6.7743 5.0596
P 4.5332 1.4458 2.2913
O 1.1282 2.7276 5.7747
O 2.7232 5.4547 1.9905
O 3.9194 7.9904 4.4815
O 2.4373 2.5185 7.9279
O 3.9889 6.8796 0.2175
O 3.8170 5.6156 4.6240
O 3.5846 4.9424 9.2534
O 3.2356 1.5373 3.0338
O 4.9333 6.9172 6.5719
O 4.2696 1.6492 0.7230
O 6.1491 6.6842 4.3870
O 5.6313 4.0141 7.8347
O 5.6119 2.4124 2.7373
O 5.3574 1.6168 7.8531
O 6.9850 6.7298 9.3073
O 7.5496 8.1987 2.1870
```

The 12 most intense peaks (2θ = 10–80°), in order of rising 2θ:
- 2θ 13.91, rel. 28
- 2θ 14.56, rel. 31
- 2θ 17.74, rel. 18
- 2θ 18.70, rel. 54
- 2θ 19.88, rel. 100
- 2θ 20.24, rel. 33
- 2θ 21.59, rel. 75
- 2θ 22.04, rel. 14
- 2θ 25.80, rel. 19
- 2θ 30.32, rel. 15
- 2θ 33.25, rel. 24
- 2θ 35.92, rel. 18

=====

Starting from the GGA+U geometry in the Materials Project, the powder diffraction line list of Li4V3Fe2Ni3O16 was calculated for Cu Kα X-rays.

Structure:
```
28
Lattice="5.8722 0.0000 0.0000 -2.8986 5.1074 0.0000 -0.3695 -0.2919 9.6119" Properties=species:S:1:pos:R:3 pbc="T T T"
Li 0.0000 0.0000 0.0000
Li -0.1006 -0.0247 4.9225
Li -0.2749 3.2059 8.6898
Li 2.7189 1.5574 4.0464
V -1.5464 3.9999 2.4336
V 0.2331 1.7111 1.9917
V 1.3152 0.8060 7.0628
Fe -0.0656 3.4010 5.0273
Fe 2.8325 1.5716 9.5216
Ni 1.4202 4.3046 2.1606
Ni 4.1881 0.7328 6.9632
Ni 2.8009 3.2692 6.9462
O -1.5778 2.6345 3.4510
O -0.2086 -0.0167 7.8441
O 0.0629 0.0730 3.0795
O -1.5418 4.2750 5.9233
O 0.0498 1.6339 5.9061
O -0.1514 3.3557 1.2006
O 1.4683 1.0655 1.0092
O 1.1131 2.5357 3.3414
O -0.1951 4.8608 3.2903
O 2.5439 0.0139 8.2455
O 1.3794 2.2582 8.2048
O 2.7469 1.4717 5.9853
O 1.3974 4.2926 5.8252
O 3.0988 3.5307 1.0981
O 4.5835 0.9614 1.1273
O 4.0662 2.2118 8.1739
```

The 12 most intense peaks (2θ = 10–80°), in order of rising 2θ:
- 2θ 18.46, rel. 100
- 2θ 19.30, rel. 28
- 2θ 19.44, rel. 39
- 2θ 19.94, rel. 48
- 2θ 20.10, rel. 21
- 2θ 25.30, rel. 21
- 2θ 35.20, rel. 35
- 2θ 35.97, rel. 24
- 2θ 36.46, rel. 42
- 2θ 36.85, rel. 33
- 2θ 40.52, rel. 25
- 2θ 63.38, rel. 37

=====

Starting from the GGA+U geometry in the Materials Project, the powder diffraction line list of ZnNi2O4 was calculated for Cu Kα X-rays.

Structure:
```
14
Lattice="1.4514 -4.7845 0.0000 1.4514 4.7845 0.0000 0.0000 0.0000 9.5062" Properties=species:S:1:pos:R:3 pbc="T T T"
Zn 1.4514 3.7449 7.1296
Zn 1.4514 -3.7449 2.3765
Ni 1.4514 1.2725 5.4080
Ni 1.4514 1.2725 8.8512
Ni 1.4514 -1.2725 0.6550
Ni 1.4514 -1.2725 4.0981
O 0.0000 0.0000 0.0000
O 0.0000 0.0000 4.7531
O 1.4514 2.1677 1.0733
O 1.4514 2.1677 3.6798
O 1.4514 0.3919 7.1296
O 1.4514 -0.3919 2.3765
O 1.4514 -2.1677 5.8264
O 1.4514 -2.1677 8.4329
```

The 12 most intense peaks (2θ = 10–80°), in order of rising 2θ:
- 2θ 33.61, rel. 30
- 2θ 33.93, rel. 100
- 2θ 37.54, rel. 55
- 2θ 42.09, rel. 14
- 2θ 43.20, rel. 49
- 2θ 46.41, rel. 42
- 2θ 58.23, rel. 12
- 2θ 58.86, rel. 23
- 2θ 61.20, rel. 17
- 2θ 64.17, rel. 15
- 2θ 65.55, rel. 32
- 2θ 74.61, rel. 18

=====

Starting from the GGA+U geometry in the Materials Project, the powder diffraction line list of BaTm2CoO5 was calculated for Cu Kα X-rays.

Structure:
```
36
Lattice="12.2288 0.0000 0.0000 0.0000 5.6986 0.0000 0.0000 0.0000 7.0474" Properties=species:S:1:pos:R:3 pbc="T T T"
Ba 1.2304 1.4247 0.5582
Ba 4.8840 4.2740 4.0819
Ba 7.3448 1.4247 2.9655
Ba 10.9984 4.2740 6.4892
Tm 0.9105 4.2740 2.8318
Tm 2.5493 1.4247 4.3661
Tm 3.5651 4.2740 0.8424
Tm 5.2039 1.4247 6.3555
Tm 7.0249 4.2740 0.6918
Tm 8.6637 1.4247 6.2050
Tm 9.6795 4.2740 2.6813
Tm 11.3182 1.4247 4.2155
Co 1.8632 4.2740 5.6922
Co 4.2512 1.4247 2.1685
Co 7.9775 4.2740 4.8789
Co 10.3656 1.4247 1.3552
O 0.8046 2.8595 4.6816
O 0.8046 5.6885 4.6816
O 1.2634 4.2740 0.5576
O 2.7467 5.6965 2.5554
O 2.7467 2.8515 2.5554
O 3.3677 0.0021 6.0791
O 3.3677 2.8472 6.0791
O 4.8509 1.4247 4.0813
O 5.3098 0.0102 1.1579
O 5.3098 2.8392 1.1579
O 6.9190 2.8595 5.8895
O 6.9190 5.6885 5.8895
O 7.3778 4.2740 2.9661
O 8.8610 5.6965 0.9683
O 8.8610 2.8515 0.9683
O 9.4821 0.0021 4.4920
O 9.4821 2.8472 4.4920
O 10.9653 1.4247 6.4898
O 11.4241 0.0102 2.3658
O 11.4241 2.8392 2.3658
```

The 12 most intense peaks (2θ = 10–80°), in order of rising 2θ:
- 2θ 29.78, rel. 100
- 2θ 30.72, rel. 78
- 2θ 31.40, rel. 51
- 2θ 31.91, rel. 22
- 2θ 33.26, rel. 18
- 2θ 37.24, rel. 15
- 2θ 45.37, rel. 31
- 2θ 46.66, rel. 15
- 2θ 48.90, rel. 14
- 2θ 54.89, rel. 18
- 2θ 55.46, rel. 18
- 2θ 59.27, rel. 17